This entry pairs a crystal structure of Li2Cr2H4O9 with its theoretical X-ray diffraction stick pattern. Radiation: a wavelength of 1.5418 Å. Structure: a PBE+U-relaxed structure.

Largest 8 diffraction maxima, by angle, 15° ≤ 2θ ≤ 90°:
| 2theta | d_spacing | I_rel |
| --- | --- | --- |
| 16.03 | 5.530 | 12 |
| 16.43 | 5.395 | 100 |
| 22.49 | 3.954 | 34 |
| 23.01 | 3.866 | 28 |
| 23.65 | 3.763 | 33 |
| 24.79 | 3.592 | 16 |
| 25.23 | 3.530 | 45 |
| 30.51 | 2.930 | 16 |

Structure:
```
Li2Cr2H4O9
1.0
6.3839 -3.8685 0.0000
6.3839 3.8685 0.0000
-0.4953 0.0000 9.6770
Li Cr H O
4 4 8 18
Direct
0.0647 0.9353 0.5000
0.1095 0.3041 0.8998
0.3041 0.1095 0.3998
0.9353 0.0647 0.0000
0.3038 0.6409 0.9273
0.4118 0.9178 0.7228
0.6409 0.3038 0.4273
0.9178 0.4118 0.2228
0.0265 0.6050 0.4709
0.2318 0.8567 0.2279
0.3494 0.7454 0.3635
0.6050 0.0265 0.9709
0.7454 0.3494 0.8635
0.7505 0.8693 0.0792
0.8567 0.2318 0.7279
0.8693 0.7505 0.5792
0.0364 0.2693 0.0882
0.0789 0.3805 0.3524
0.1572 0.5360 0.8936
0.2026 0.8211 0.0477
0.2496 0.8788 0.3285
0.2693 0.0364 0.5881
0.3206 0.7497 0.7725
0.3805 0.0789 0.8524
0.4747 0.5299 0.4741
0.5299 0.4747 0.9741
0.5360 0.1572 0.3936
0.6480 0.7979 0.6856
0.7314 0.9857 0.0254
0.7497 0.3206 0.2725
0.7979 0.6480 0.1856
0.8211 0.2026 0.5477
0.8788 0.2496 0.8285
0.9857 0.7314 0.5254
```